Li4ReN4: simulated powder diffractogram (Cu Kα (λ = 1.5418 Å)), based on a DFT-relaxed cell (GGA-PBE, Alexandria).
Lines closer than 0.1° are merged.

Most intense lines, 10° ≤ 2θ ≤ 90°, low angle first:
2θ (°), d/Å, Rel. int., index
15.4, 5.756, 29, 1 1 0
21.1, 4.214, 100, 1 1 1
21.5, 4.135, 33, 2 0 0
26.5, 3.364, 31, 0 2 1
32.9, 2.725, 17, 1 1 2
34.4, 2.609, 27, 2 2 1
37.4, 2.402, 25, 3 1 1
46.2, 1.964, 19, 1 3 2

Cell and atoms:
Cell lengths 8.271, 8.015, 6.187 Å; angles 90.00, 90.00, 90.00 degrees
Space group Cmcm (No. 63)
Symmetry-distinct sites (fractional):
Li 0.147 0.220 0.250
Li 0.155 0.500 0.000
Re 0.000 0.170 0.750
N 0.000 0.299 0.508
N 0.187 0.045 0.750


KRb3Tl6: simulated powder diffractogram (Cu Kα (λ = 1.5418 Å)), based on a DFT-relaxed cell (GGA-PBE, Alexandria).
Lines closer than 0.1° are merged.

Most intense lines, 10° ≤ 2θ ≤ 90°, low angle first:
2θ (°), d/Å, Rel. int., index
13.5, 6.576, 100, 2 0 0
27.1, 3.288, 51, 4 0 0
28.5, 3.134, 20, 0 2 1
28.8, 3.097, 29, 2 2 -1
29.4, 3.036, 55, 2 0 -3
30.4, 2.939, 26, 4 0 -3
32.6, 2.745, 32, 2 2 -2
34.9, 2.574, 21, 0 2 2

Cell and atoms:
Cell lengths 15.525, 6.842, 9.226 Å; angles 90.00, 122.10, 90.00 degrees
Space group C2/m (No. 12)
Symmetry-distinct sites (fractional):
K 0.000 0.000 0.000
Rb 0.000 0.000 0.500
Rb 0.003 0.500 0.252
Tl 0.217 0.000 0.961
Tl 0.246 0.240 0.314


AgAu2Se: simulated powder diffractogram (Cu Kα (λ = 1.5418 Å)), based on a DFT-relaxed cell (GGA-PBE, Alexandria).
Lines closer than 0.1° are merged.

Most intense lines, 10° ≤ 2θ ≤ 90°, low angle first:
2θ (°), d/Å, Rel. int., index
12.4, 7.121, 58, 0 0 1
34.4, 2.606, 100, 0 1 2
38.8, 2.324, 41, 1 1 0
39.9, 2.261, 35, 1 0 2
40.8, 2.209, 45, 1 1 1
47.6, 1.912, 21, 0 2 0
49.4, 1.844, 26, 1 0 3
74.4, 1.276, 22, 2 1 2

Cell and atoms:
Cell lengths 2.926, 3.824, 7.121 Å; angles 90.00, 90.00, 90.00 degrees
Space group Pmm2 (No. 25)
Symmetry-distinct sites (fractional):
Ag 0.000 0.000 0.000
Au 0.000 0.000 0.555
Au 0.500 0.500 0.777
Se 0.000 0.500 0.284


Na8TlAg2: simulated powder diffractogram (Cu Kα (λ = 1.5418 Å)), based on a DFT-relaxed cell (GGA-PBE, Alexandria).
Lines closer than 0.1° are merged.

Most intense lines, 10° ≤ 2θ ≤ 90°, low angle first:
2θ (°), d/Å, Rel. int., index
20.2, 4.402, 100, 0 1 2
20.6, 4.311, 85, 1 1 1
22.7, 3.922, 33, 1 0 -1
23.1, 3.852, 34, 1 0 2
32.0, 2.795, 28, 0 0 3
33.1, 2.703, 39, 2 0 1
33.9, 2.641, 55, 1 2 0
34.2, 2.619, 54, 1 2 3

Cell and atoms:
Cell lengths 5.408, 7.143, 9.461 Å; angles 67.88, 74.35, 89.97 degrees
Space group P1 (No. 1)
Symmetry-distinct sites (fractional):
Na 0.000 0.000 0.000
Na 0.023 0.549 0.945
Na 0.194 0.056 0.603
Na 0.370 0.892 0.262
Na 0.394 0.396 0.208
Na 0.592 0.283 0.814
Na 0.695 0.790 0.604
Na 0.802 0.496 0.392
Tl 0.196 0.511 0.603
Ag 0.531 0.815 0.932
Ag 0.863 0.143 0.276


Np2CoSn8: simulated powder diffractogram (Cu Kα (λ = 1.5418 Å)), based on a DFT-relaxed cell (GGA-PBE, Alexandria).
Lines closer than 0.1° are merged.

Most intense lines, 10° ≤ 2θ ≤ 90°, low angle first:
2θ (°), d/Å, Rel. int., index
31.1, 2.878, 47, 1 1 2
35.2, 2.552, 100, 1 1 3
36.4, 2.470, 23, 0 0 5
39.2, 2.300, 54, 2 0 0
54.5, 1.683, 29, 2 0 5
56.6, 1.627, 19, 2 2 0
67.1, 1.395, 19, 1 1 8
68.4, 1.372, 31, 3 1 3

Cell and atoms:
Cell lengths 4.601, 4.601, 12.349 Å; angles 90.00, 90.00, 90.00 degrees
Space group P4/mmm (No. 123)
Symmetry-distinct sites (fractional):
Np 0.000 0.000 0.191
Co 0.000 0.000 0.500
Sn 0.000 0.500 0.000
Sn 0.000 0.500 0.380
Sn 0.500 0.500 0.190